Entry 1:
Computed powder XRD pattern of Er3Ga2Cu9 for Cu Kα (weighted mean of Kα1 and Kα2), from a cell relaxed with GGA-PBE.

The 10 most intense peaks (10° ≤ 2θ ≤ 80°), in order of rising 2θ:
2θ/deg	I/Imax	hkl
23.54	18.5	1 1 0
30.34	23.8	1 0 3
35.72	34.1	0 2 4
36.97	100.0	1 2 3
37.55	39.4	1 1 4
37.95	46.3	1 3 0
38.19	29.9	0 3 3
40.75	31.0	1 3 2
43.00	50.6	2 0 0
72.75	17.8	1 4 7

Structural model:
a b c (Å): 4.2065 8.6111 12.3847
angles (deg): 90.00 90.00 90.00
Space group Immm (No. 71)
Inequivalent atoms, fractional coordinates:
Er (0.0000, 0.0000, 0.0000)
Er (0.0000, 0.0000, 0.2927)
Ga (0.0000, 0.1900, 0.5000)
Cu (0.0000, 0.2854, 0.1327)
Cu (0.0000, 0.3567, 0.3351)
Cu (0.0000, 0.5000, 0.0000)

***

Entry 2:
Computed powder XRD pattern of BiAsF6 for Cu Kα (weighted mean of Kα1 and Kα2), from a cell relaxed with GGA-PBE.

The 10 most intense peaks (10° ≤ 2θ ≤ 80°), in order of rising 2θ:
2θ/deg	I/Imax	hkl
16.54	17.4	0 0 1
19.22	25.9	1 1 0
20.88	66.8	0 2 0
23.21	100.0	1 1 -1
27.54	61.9	1 1 1
39.00	23.9	2 2 0
39.76	36.2	0 2 2
40.95	43.2	1 3 1
42.10	19.1	2 0 -2
47.44	16.0	2 2 -2

Structural model:
a b c (Å): 5.6139 8.5071 5.4710
angles (deg): 90.00 101.57 90.00
Space group C2/m (No. 12)
Inequivalent atoms, fractional coordinates:
Bi (0.0000, 0.0000, 0.0000)
As (0.0000, 0.5000, 0.5000)
F (0.2079, 0.3426, 0.7522)
F (0.2349, 0.0000, 0.7066)